[1]
Starting from a DFT-relaxed cell (PBE, Alexandria), the powder diffraction line list of Tm2TaSi3Pt4 was calculated for Cu Kα (λ = 1.5418 Å).
Lines closer than 0.1° are merged.

Cell: 4.116 4.116 10.566 Å, 90.00 90.00 90.00°
Element x y z (fractional)
Tm (0.000, 0.500, 0.234)
Tm (0.500, 0.000, 0.766)
Ta (0.000, 0.000, 0.500)
Si (0.000, 0.500, 0.866)
Si (0.500, 0.000, 0.134)
Si (0.500, 0.500, 0.500)
Pt (0.000, 0.000, 0.000)
Pt (0.000, 0.500, 0.644)
Pt (0.500, 0.000, 0.356)
Pt (0.500, 0.500, 0.000)

The 12 most intense peaks (10 to 80 degrees two-theta), low angle first:
27.5°, rel. 31, (1 0 2); 31.9°, rel. 15, (1 1 1); 33.5°, rel. 32, (1 0 3); 35.2°, rel. 100, (1 1 2); 44.0°, rel. 49, (2 0 0); 46.4°, rel. 21, (1 1 4); 48.4°, rel. 22, (1 0 5); 52.6°, rel. 11, (2 1 2); 56.4°, rel. 15, (2 1 3); 64.0°, rel. 16, (2 2 0); 67.5°, rel. 16, (2 1 5); 75.2°, rel. 23, (3 1 2)


[2]
Starting from a DFT-relaxed cell (PBE, Alexandria), the powder diffraction line list of Tb4Si3Pt was calculated for Cu Kα (λ = 1.5418 Å).
Lines closer than 0.1° are merged.

Cell: 3.933 4.220 10.786 Å, 90.00 90.00 90.00°
Element x y z (fractional)
Tb (0.000, 0.000, 0.000)
Tb (0.000, 0.500, 0.495)
Tb (0.500, 0.000, 0.279)
Tb (0.500, 0.500, 0.779)
Si (0.000, 0.000, 0.706)
Si (0.000, 0.500, 0.216)
Si (0.500, 0.000, 0.563)
Pt (0.500, 0.500, 0.057)

The 12 most intense peaks (10 to 80 degrees two-theta), low angle first:
28.1°, rel. 27, (1 0 2); 32.2°, rel. 100, (1 1 1); 32.7°, rel. 43, (0 1 3); 33.2°, rel. 28, (0 0 4); 40.1°, rel. 44, (1 1 3); 40.6°, rel. 17, (1 0 4); 42.9°, rel. 23, (0 2 0); 46.2°, rel. 23, (2 0 0); 53.1°, rel. 14, (1 1 5); 55.3°, rel. 13, (0 2 4); 57.7°, rel. 17, (2 1 3); 64.8°, rel. 14, (2 2 0)


[3]
Starting from a DFT-relaxed cell (PBE, Alexandria), the powder diffraction line list of Tb2SiPt3 was calculated for Cu Kα (λ = 1.5418 Å).
Lines closer than 0.1° are merged.

Cell: 3.685 4.266 7.745 Å, 90.00 90.00 90.00°
Element x y z (fractional)
Tb (0.000, 0.000, 0.000)
Tb (0.000, 0.500, 0.475)
Si (0.500, 0.500, 0.812)
Pt (0.500, 0.000, 0.331)
Pt (0.500, 0.000, 0.679)
Pt (0.500, 0.500, 0.118)

The 12 most intense peaks (10 to 80 degrees two-theta), low angle first:
24.1°, rel. 12, (1 0 0); 33.6°, rel. 41, (1 0 2); 34.2°, rel. 100, (1 1 1); 39.8°, rel. 17, (1 1 2); 40.9°, rel. 52, (0 1 3); 42.4°, rel. 28, (0 2 0); 49.4°, rel. 22, (2 0 0); 53.5°, rel. 13, (1 0 4); 55.1°, rel. 21, (1 2 2); 66.0°, rel. 26, (2 1 3); 67.1°, rel. 14, (2 2 0); 70.5°, rel. 12, (1 2 4)


[4]
Starting from a DFT-relaxed cell (PBE, Alexandria), the powder diffraction line list of TbSi3Pt3 was calculated for Cu Kα (λ = 1.5418 Å).
Lines closer than 0.1° are merged.

Cell: 6.595 6.595 6.595 Å, 90.00 90.00 90.00°
Element x y z (fractional)
Tb (0.000, 0.000, 0.000)
Tb (0.500, 0.500, 0.500)
Si (0.000, 0.250, 0.500)
Si (0.000, 0.750, 0.500)
Si (0.250, 0.500, 0.000)
Si (0.500, 0.000, 0.250)
Si (0.500, 0.000, 0.750)
Si (0.750, 0.500, 0.000)
Pt (0.000, 0.500, 0.250)
Pt (0.000, 0.500, 0.750)
Pt (0.250, 0.000, 0.500)
Pt (0.500, 0.250, 0.000)
Pt (0.500, 0.750, 0.000)
Pt (0.750, 0.000, 0.500)

The 12 most intense peaks (10 to 80 degrees two-theta), low angle first:
27.0°, rel. 43, (2 0 0); 30.3°, rel. 94, (2 1 0); 33.3°, rel. 100, (2 1 1); 47.8°, rel. 22, (2 2 2); 49.9°, rel. 25, (3 2 0); 51.9°, rel. 57, (3 2 1); 55.8°, rel. 27, (4 0 0); 63.0°, rel. 16, (4 2 0); 64.8°, rel. 23, (4 2 1); 66.5°, rel. 14, (3 3 2); 78.0°, rel. 20, (5 2 0); 79.6°, rel. 17, (5 2 1)